Diffraction record for SmYS2F2. The X-ray powder pattern is simulated, not measured: it uses a PBE-relaxed structure and Cu Kα (weighted mean of Kα1 and Kα2).
Kinematic intensities with the Lorentz-polarization factor, no thermal factor.

Largest 8 diffraction maxima, in order of falling intensity, 5° ≤ 2θ ≤ 70°:
26.9 deg, I = 100, (1 0 1); 42.9 deg, I = 67, (1 1 2); 33.4 deg, I = 59, (1 1 0); 46.5 deg, I = 41, (1 0 3); 48.0 deg, I = 34, (2 0 0); 26.1 deg, I = 34, (0 0 2); 35.4 deg, I = 28, (1 0 2); 55.9 deg, I = 27, (2 1 1)

Crystal structure
```
data_SmYS2F2
_cell_length_a 3.793
_cell_length_b 3.793
_cell_length_c 6.829
_cell_angle_alpha 90.00
_cell_angle_beta 90.00
_cell_angle_gamma 90.00
_symmetry_space_group_name_H-M 'P 4 m m'
_symmetry_Int_Tables_number 99
loop_
_symmetry_equiv_pos_as_xyz
'x,y,z'
'-y,x,z'
'-x,-y,z'
'y,-x,z'
'-x,y,z'
'y,x,z'
'x,-y,z'
'-y,-x,z'
loop_
_atom_site_label
_atom_site_fract_x
_atom_site_fract_y
_atom_site_fract_z
Sm1 0.000 0.000 0.000
Y1 0.500 0.500 0.458
S1 0.000 0.000 0.582
S2 0.500 0.500 0.868
F1 0.000 0.500 0.231
```